# Li4MnCo2O7
Computed XRD peak list, λ = 1.5418 Å (Cu Kα). Input: DFT lattice parameters and positions (GGA+U).

Lattice parameters (Å, degrees): 5.1357 20.0042 5.1777 90.00 111.50 90.00
Space group C2/m (No. 12)
Inequivalent atoms, fractional coordinates:
Li1 0.0000 0.0000 0.0000 x2
Li2 0.0000 0.0673 0.5000 x4
Li3 0.0000 0.2153 0.5000 x4
Li4 0.0000 0.3591 0.5000 x4
Li5 0.0000 0.5000 0.5000 x2
Mn1 0.0000 0.1406 0.0000 x4
Co1 0.0000 0.2852 0.0000 x4
Co2 0.0000 0.4306 0.0000 x4
O1 0.2173 0.5000 0.2274 x4
O2 0.2268 0.2154 0.2292 x8
O3 0.2350 0.0775 0.2387 x8
O4 0.2459 0.3570 0.2085 x8

The 10 most intense peaks (2θ = 10–80°), most intense first:
h k l	2theta	d (Å)	intensity
0 0 1	18.42	4.817	100.0
1 7 1	44.50	2.036	52.1
2 0 -2	42.41	2.131	30.9
1 7 0	36.64	2.453	23.4
2 0 -1	35.29	2.543	18.3
3 7 -1	63.37	1.468	15.2
1 7 -3	62.94	1.477	15.1
1 7 2	58.55	1.577	9.9
1 7 -2	47.68	1.907	9.3
1 7 -1	37.91	2.374	7.0

# Li4MnCo2O7
Computed XRD peak list, λ = 1.5418 Å (Cu Kα). Input: DFT lattice parameters and positions (GGA+U).

Lattice parameters (Å, degrees): 2.9877 7.7764 11.2004 79.98 82.96 82.52
Space group P1 (No. 1)
Inequivalent atoms, fractional coordinates:
Li1 0.0000 0.0000 0.0000 x1
Li2 0.0438 0.2225 0.6530 x1
Li3 0.1734 0.6637 0.9330 x1
Li4 0.3233 0.0844 0.2127 x1
Li5 0.4675 0.5078 0.5074 x1
Li6 0.6129 0.9371 0.8019 x1
Li7 0.7879 0.3604 0.0725 x1
Li8 0.9104 0.7933 0.3648 x1
Mn1 0.5370 0.7314 0.1449 x1
Mn2 0.6978 0.1506 0.4329 x1
Co1 0.0967 0.4409 0.2926 x1
Co2 0.2671 0.8617 0.5826 x1
Co3 0.4131 0.2841 0.8688 x1
Co4 0.8223 0.5754 0.7237 x1
O1 0.0438 0.1315 0.8298 x1
O2 0.0564 0.3307 0.4607 x1
O3 0.1074 0.5630 0.1261 x1
O4 0.1697 0.7537 0.7500 x1
O5 0.3396 0.9695 0.4064 x1
O6 0.3691 0.2066 0.0255 x1
O7 0.4691 0.3994 0.7005 x1
O8 0.4741 0.6086 0.3193 x1
O9 0.5850 0.8185 0.9826 x1
O10 0.6790 0.0381 0.6040 x1
O11 0.7430 0.2665 0.2597 x1
O12 0.7867 0.4664 0.8885 x1
O13 0.8406 0.6853 0.5572 x1
O14 0.9673 0.8797 0.1802 x1

The 10 most intense peaks (2θ = 10–80°), most intense first:
h k l	2theta	d (Å)	intensity
0 1 2	18.36	4.834	100.0
-1 2 1	41.48	2.177	33.0
1 3 2	44.21	2.049	26.9
0 1 -5	44.78	2.024	25.2
1 -1 1	34.53	2.598	18.3
1 2 0	36.43	2.466	12.0
0 2 -3	36.72	2.448	11.4
0 5 3	62.18	1.493	8.2
0 2 4	37.19	2.418	8.1
2 1 1	62.27	1.491	8.0

# Li4MnCo2O7
Computed XRD peak list, λ = 1.5418 Å (Cu Kα). Input: DFT lattice parameters and positions (GGA+U).

Lattice parameters (Å, degrees): 21.0559 2.9238 8.3651 90.00 101.64 90.00
Space group C2/m (No. 12)
Inequivalent atoms, fractional coordinates:
Li1 0.0000 0.0000 0.0000 x2
Li2 0.0000 0.0000 0.5000 x2
Li3 0.0708 0.5000 0.3015 x4
Li4 0.1396 0.0000 0.5699 x4
Li5 0.2154 0.5000 0.8549 x4
Mn1 0.0699 0.5000 0.7739 x4
Co1 0.1420 0.0000 0.0703 x4
Co2 0.2134 0.5000 0.3575 x4
O1 0.0078 0.0000 0.7563 x4
O2 0.0723 0.5000 0.5576 x4
O3 0.0763 0.5000 0.0222 x4
O4 0.1353 0.0000 0.8198 x4
O5 0.1454 0.0000 0.3179 x4
O6 0.2091 0.5000 0.1068 x4
O7 0.2208 0.5000 0.6073 x4

The 10 most intense peaks (2θ = 10–80°), most intense first:
h k l	2theta	d (Å)	intensity
4 0 -1	18.39	4.824	100.0
7 1 0	43.61	2.075	56.5
2 0 -4	43.26	2.091	28.5
3 1 1	35.95	2.498	26.3
9 1 -4	63.06	1.474	22.5
5 1 4	63.19	1.471	15.1
2 0 3	35.67	2.517	14.1
5 1 -3	47.60	1.910	13.0
11 1 -1	57.57	1.601	9.7
0 2 0	63.65	1.462	7.8

# Li7Mn2Co3O12
Computed XRD peak list, λ = 1.5418 Å (Cu Kα). Input: DFT lattice parameters and positions (GGA+U).

Lattice parameters (Å, degrees): 2.9720 7.6029 9.8704 101.05 92.31 99.24
Space group P1 (No. 1)
Inequivalent atoms, fractional coordinates:
Li1 0.0000 0.0000 0.0000 x1
Li2 0.0621 0.1566 0.7636 x1
Li3 0.1524 0.3271 0.5079 x1
Li4 0.3151 0.6565 0.0079 x1
Li5 0.4993 0.9962 0.5075 x1
Li6 0.6496 0.3115 0.9931 x1
Li7 0.8151 0.6549 0.5067 x1
Mn1 0.2339 0.4916 0.2531 x1
Mn2 0.4097 0.8310 0.7556 x1
Co1 0.5685 0.1537 0.2558 x1
Co2 0.7336 0.4753 0.7507 x1
Co3 0.9111 0.8261 0.2573 x1
O1 0.0357 0.0649 0.3725 x1
O2 0.1073 0.2475 0.1388 x1
O3 0.1795 0.4209 0.8689 x1
O4 0.3094 0.5789 0.6442 x1
O5 0.3304 0.7363 0.3707 x1
O6 0.4886 0.9124 0.1426 x1
O7 0.5140 0.0533 0.8744 x1
O8 0.6305 0.2650 0.6387 x1
O9 0.6557 0.3987 0.3714 x1
O10 0.8109 0.5877 0.1389 x1
O11 0.8779 0.7361 0.8573 x1
O12 0.9227 0.8957 0.6458 x1

The 10 most intense peaks (2θ = 10–80°), most intense first:
h k l	2theta	d (Å)	intensity
0 0 2	18.37	4.831	100.0
1 1 -3	41.91	2.156	33.6
1 -2 3	44.08	2.054	27.9
0 3 2	44.70	2.027	26.1
1 1 -1	34.89	2.572	18.1
1 -2 1	36.33	2.473	13.0
0 3 0	36.68	2.450	11.6
1 -5 1	65.12	1.433	9.5
0 3 -6	62.32	1.490	8.4
2 -1 0	62.59	1.484	8.3